Calculated powder X-ray diffraction pattern
Compound: Nd2Sm6ErTm
Radiation: Cu Kα X-rays
Structure: the PBE geometry in Alexandria
Neutral-atom scattering factors, no anomalous dispersion.

Top 8 peaks for 10 to 90 degrees two-theta, in order of falling intensity:
two_theta, I/Imax
31.3, 100
30.3, 87
33.2, 83
30.9, 76
30.1, 69
28.3, 58
31.2, 57
27.6, 27

Cell and atoms:
```
Nd2Sm6ErTm
1.0
4.573 -7.636 0.000
4.573 7.636 0.000
-1.443 0.000 9.654
Nd Sm Er Tm
4 12 2 2
direct
0.196 0.299 0.042
0.299 0.196 0.542
0.701 0.804 0.458
0.804 0.701 0.958
0.017 0.575 0.190
0.125 0.752 0.556
0.248 0.875 0.944
0.291 0.501 0.381
0.425 0.983 0.310
0.499 0.709 0.119
0.501 0.291 0.881
0.575 0.017 0.690
0.709 0.499 0.619
0.752 0.125 0.056
0.875 0.248 0.444
0.983 0.425 0.810
0.020 0.980 0.250
0.980 0.020 0.750
0.408 0.592 0.750
0.592 0.408 0.250
```